Entry 1:
Calculated powder diffractogram of CsLi2Br3 for CuKα, from a structure optimized by DFT (PBE).

Atomic structure:
Cell lengths 4.6917, 5.7027, 13.5583 Å; angles 90.00, 90.00, 90.00 degrees
Space group Immm (No. 71)
Inequivalent atoms, fractional coordinates:
Cs  0.0000  0.0000  0.0000 x2
Li  0.0000  0.0000  0.3086 x4
Br  0.0000  0.0000  0.5000 x2
Br  0.0000  0.5000  0.2805 x4

Peak list (10 most intense, 10° ≤ 2θ ≤ 80°, by intensity)
Position (°2θ), d_spacing, intensity, (hkl)
27.92, 3.195, 1000, 1 1 2
26.29, 3.390, 252, 0 0 4
31.37, 2.851, 215, 0 2 0
53.76, 1.705, 155, 1 3 2
41.38, 2.182, 146, 0 2 4
47.42, 1.917, 145, 1 1 6
38.37, 2.346, 139, 2 0 0
50.37, 1.812, 124, 2 2 0
57.70, 1.598, 108, 2 2 4
47.11, 1.929, 99, 2 0 4


Entry 2:
Calculated powder diffractogram of Cs2LiNdBr6 for CuKα, from a structure optimized by DFT (PBE).

Atomic structure:
Cell lengths 11.3712, 11.3712, 11.3712 Å; angles 90.00, 90.00, 90.00 degrees
Space group Fm-3m (No. 225)
Inequivalent atoms, fractional coordinates:
Cs  0.2500  0.2500  0.2500 x8
Li  0.0000  0.0000  0.0000 x4
Nd  0.0000  0.0000  0.5000 x4
Br  0.0000  0.0000  0.2457 x24

Peak list (10 most intense, 10° ≤ 2θ ≤ 80°, by intensity)
Position (°2θ), d_spacing, intensity, (hkl)
31.47, 2.843, 1000, 4 0 0
27.17, 3.283, 882, 2 2 2
45.10, 2.010, 722, 4 4 0
53.45, 1.714, 381, 6 2 2
22.11, 4.020, 358, 2 2 0
74.66, 1.271, 321, 8 4 0
56.03, 1.641, 251, 4 4 4
13.49, 6.565, 192, 1 1 1
25.99, 3.429, 166, 3 1 1
38.80, 2.321, 165, 4 2 2


Entry 3:
Calculated powder diffractogram of Cs2LiTaBr6 for CuKα, from a structure optimized by DFT (PBE).

Atomic structure:
Cell lengths 10.9507, 10.9507, 10.9507 Å; angles 90.00, 90.00, 90.00 degrees
Space group Fm-3m (No. 225)
Inequivalent atoms, fractional coordinates:
Cs  0.2500  0.2500  0.2500 x8
Li  0.0000  0.0000  0.0000 x4
Ta  0.0000  0.0000  0.5000 x4
Br  0.0000  0.0000  0.2578 x24

Peak list (10 most intense, 10° ≤ 2θ ≤ 80°, by intensity)
Position (°2θ), d_spacing, intensity, (hkl)
32.71, 2.738, 1000, 4 0 0
28.23, 3.161, 735, 2 2 2
46.94, 1.936, 712, 4 4 0
14.01, 6.322, 448, 1 1 1
22.97, 3.872, 438, 2 2 0
78.05, 1.224, 313, 8 4 0
55.68, 1.651, 302, 6 2 2
58.38, 1.581, 245, 4 4 4
27.00, 3.302, 204, 3 1 1
40.35, 2.235, 198, 4 2 2


Entry 4:
Calculated powder diffractogram of Cs2LiYBr6 for CuKα, from a structure optimized by DFT (PBE).

Atomic structure:
Cell lengths 11.2154, 11.2154, 11.2154 Å; angles 90.00, 90.00, 90.00 degrees
Space group Fm-3m (No. 225)
Inequivalent atoms, fractional coordinates:
Cs  0.2500  0.2500  0.2500 x8
Li  0.0000  0.0000  0.0000 x4
Y  0.0000  0.0000  0.5000 x4
Br  0.0000  0.0000  0.2499 x24

Peak list (10 most intense, 10° ≤ 2θ ≤ 80°, by intensity)
Position (°2θ), d_spacing, intensity, (hkl)
27.55, 3.238, 1000, 2 2 2
31.92, 2.804, 848, 4 0 0
45.76, 1.983, 608, 4 4 0
54.25, 1.691, 437, 6 2 2
75.88, 1.254, 270, 8 4 0
22.42, 3.965, 211, 2 2 0
56.88, 1.619, 210, 4 4 4
73.63, 1.286, 178, 6 6 2
66.72, 1.402, 97, 8 0 0
39.36, 2.289, 96, 4 2 2


Entry 5:
Calculated powder diffractogram of Cs3MnBr5 for CuKα, from a structure optimized by DFT (PBE).

Atomic structure:
Cell lengths 9.9284, 9.9284, 15.6119 Å; angles 90.00, 90.00, 90.00 degrees
Space group I4/mcm (No. 140)
Inequivalent atoms, fractional coordinates:
Cs  0.0000  0.0000  0.2500 x4
Cs  0.1643  0.3357  0.0000 x8
Mn  0.0000  0.5000  0.2500 x4
Br  0.0000  0.0000  0.0000 x4
Br  0.1414  0.3586  0.3464 x16

Peak list (10 most intense, 10° ≤ 2θ ≤ 80°, by intensity)
Position (°2θ), d_spacing, intensity, (hkl)
26.39, 3.378, 1000, 2 1 3
28.43, 3.140, 479, 3 1 0
52.67, 1.738, 190, 5 2 3
21.21, 4.189, 183, 2 0 2
25.37, 3.510, 167, 2 2 0
55.49, 1.656, 144, 6 0 0
34.36, 2.610, 129, 2 2 4
40.64, 2.220, 126, 4 2 0
41.31, 2.185, 124, 4 1 3
45.26, 2.004, 112, 3 1 6


Entry 6:
Calculated powder diffractogram of CsMnBr3 for CuKα, from a structure optimized by DFT (PBE).

Atomic structure:
Cell lengths 7.8588, 7.8588, 6.5964 Å; angles 90.00, 90.00, 120.00 degrees
Space group P6_3/mmc (No. 194)
Inequivalent atoms, fractional coordinates:
Cs  0.3333  0.6667  0.2500 x2
Mn  0.0000  0.0000  0.0000 x2
Br  0.1573  0.3146  0.7500 x6

Peak list (10 most intense, 10° ≤ 2θ ≤ 80°, by intensity)
Position (°2θ), d_spacing, intensity, (hkl)
29.54, 3.024, 1000, 2 0 1
37.99, 2.368, 282, 2 0 2
46.21, 1.965, 241, 2 2 0
49.35, 1.847, 232, 2 0 3
75.25, 1.263, 231, 2 2 4
27.03, 3.298, 206, 0 0 2
55.78, 1.648, 199, 0 0 4
54.35, 1.688, 162, 2 2 2
26.19, 3.403, 110, 2 0 0
22.63, 3.929, 107, 1 1 0